The following is a theoretical X-ray diffraction stick pattern of Li3CoO2F2. It was derived from a cell relaxed with GGA+U, using Cu Kα, 1.54184 Å.
Intensities are scaled so that the largest is 100.

a b c (Å): 5.0333 5.8765 5.0279
angles (deg): 90.00 108.11 90.00
Space group P2/c (No. 13)
Asymmetric unit:
Li (0.0000, 0.1200, 0.2500) [2 per cell]
Li (0.0000, 0.3572, 0.7500) [2 per cell]
Li (0.5000, 0.3677, 0.2500) [2 per cell]
Co (0.5000, 0.1023, 0.7500) [2 per cell]
O (0.2706, 0.1096, 0.9879) [4 per cell]
F (0.2524, 0.3801, 0.5066) [4 per cell]

Largest 12 diffraction maxima, sorted by position, 2θ = 5–70°:
index	two_theta	I/Imax
0 1 0	15.08	74
1 0 0	18.55	90
1 1 0	23.99	93
1 1 -1	26.63	29
0 2 1	35.88	29
1 1 -2	39.63	13
2 1 0	40.75	30
1 2 1	43.45	100
2 0 -2	44.49	47
2 0 2	62.95	14
0 4 0	63.30	12
1 2 -3	63.94	50